Entry 1:
Diffraction record for YMgAu. The X-ray diffraction stick pattern is computed, not measured: it uses a crystal structure in the Materials Project, relaxed with GGA-PBE and Cu Kα X-rays.
Peak positions follow from Bragg's law for the DFT cell and can differ from measured ones.

Most intense lines, 10° ≤ 2θ ≤ 90°, low angle first:
two_theta	I/Imax
23.0	88.8
26.0	56.3
32.2	47.7
35.0	100.0
40.4	51.1
42.3	54.7
62.4	28.5
65.1	29.6

Crystal structure
a b c (Å): 7.731 7.731 3.991
angles (deg): 90.00 90.00 120.00
Atoms (fractional coordinates):
1 Y 0.000 0.589 0.000
2 Y 0.411 0.411 0.000
3 Y 0.589 0.000 0.000
4 Mg 0.000 0.250 0.500
5 Mg 0.250 0.000 0.500
6 Mg 0.750 0.750 0.500
7 Au 0.000 0.000 0.000
8 Au 0.333 0.667 0.500
9 Au 0.667 0.333 0.500


Entry 2:
Diffraction record for CsV5S8. The X-ray diffraction stick pattern is computed, not measured: it uses a crystal structure in the Materials Project, relaxed with GGA-PBE and Cu Kα X-rays.
Peak positions follow from Bragg's law for the DFT cell and can differ from measured ones.

Most intense lines, 10° ≤ 2θ ≤ 90°, low angle first:
two_theta	I/Imax
20.4	48.2
20.8	59.1
33.2	49.1
33.7	100.0
35.1	80.4
41.3	68.3
46.8	51.1
54.0	53.2

Crystal structure
a b c (Å): 9.001 9.001 8.968
angles (deg): 103.22 103.22 21.55
Atoms (fractional coordinates):
1 Cs 0.000 0.000 0.000
2 V 0.149 0.149 0.494
3 V 0.206 0.206 0.831
4 V 0.500 0.500 0.500
5 V 0.794 0.794 0.169
6 V 0.851 0.851 0.506
7 S 0.072 0.072 0.668
8 S 0.261 0.261 0.349
9 S 0.330 0.330 0.008
10 S 0.411 0.411 0.670
11 S 0.589 0.589 0.330
12 S 0.670 0.670 0.992
13 S 0.739 0.739 0.651
14 S 0.928 0.928 0.332


Entry 3:
Diffraction record for TiCu2O3. The X-ray diffraction stick pattern is computed, not measured: it uses a crystal structure in the Materials Project, relaxed with GGA-PBE and Cu Kα X-rays.
Peak positions follow from Bragg's law for the DFT cell and can differ from measured ones.

Most intense lines, 10° ≤ 2θ ≤ 90°, low angle first:
two_theta	I/Imax
34.1	100.0
34.6	29.7
35.8	48.4
36.3	31.2
49.4	13.2
53.5	18.9
60.6	13.1
63.9	13.6

Crystal structure
a b c (Å): 8.781 8.781 4.969
angles (deg): 101.66 101.66 49.66
Atoms (fractional coordinates):
1 Ti 0.052 0.785 0.978
2 Ti 0.215 0.948 0.522
3 Ti 0.785 0.052 0.478
4 Ti 0.948 0.215 0.022
5 Cu 0.136 0.381 0.761
6 Cu 0.316 0.498 0.404
7 Cu 0.381 0.136 0.261
8 Cu 0.498 0.316 0.904
9 Cu 0.502 0.684 0.096
10 Cu 0.619 0.864 0.739
11 Cu 0.684 0.502 0.596
12 Cu 0.864 0.619 0.239
13 O 0.066 0.934 0.750
14 O 0.073 0.218 0.756
15 O 0.203 0.540 0.756
16 O 0.218 0.073 0.256
17 O 0.289 0.711 0.250
18 O 0.460 0.797 0.744
19 O 0.540 0.203 0.256
20 O 0.711 0.289 0.750
21 O 0.782 0.927 0.744
22 O 0.797 0.460 0.244
23 O 0.927 0.782 0.244
24 O 0.934 0.066 0.250


Entry 4:
Diffraction record for Zr2InNi2. The X-ray diffraction stick pattern is computed, not measured: it uses a crystal structure in the Materials Project, relaxed with GGA-PBE and Cu Kα X-rays.
Peak positions follow from Bragg's law for the DFT cell and can differ from measured ones.

Most intense lines, 10° ≤ 2θ ≤ 90°, low angle first:
two_theta	I/Imax
31.9	15.5
35.1	18.0
36.6	51.6
38.7	100.0
39.4	67.8
54.8	15.0
69.5	22.7
72.3	14.8

Crystal structure
a b c (Å): 7.236 7.236 6.702
angles (deg): 90.00 90.00 90.00
Atoms (fractional coordinates):
1 Zr 0.162 0.162 0.000
2 Zr 0.175 0.175 0.500
3 Zr 0.325 0.675 0.000
4 Zr 0.338 0.662 0.500
5 Zr 0.662 0.338 0.500
6 Zr 0.675 0.325 0.000
7 Zr 0.825 0.825 0.500
8 Zr 0.838 0.838 0.000
9 In 0.000 0.500 0.250
10 In 0.000 0.500 0.750
11 In 0.500 0.000 0.250
12 In 0.500 0.000 0.750
13 Ni 0.125 0.875 0.266
14 Ni 0.125 0.875 0.734
15 Ni 0.375 0.375 0.234
16 Ni 0.375 0.375 0.766
17 Ni 0.625 0.625 0.234
18 Ni 0.625 0.625 0.766
19 Ni 0.875 0.125 0.266
20 Ni 0.875 0.125 0.734